(1)
Rb2PmAg2I6: computed XRD peak list (Cu Kα), based on a cell relaxed with GGA-PBE.
Peak positions follow from Bragg's law for the DFT cell and can differ from measured ones.

Structural model:
```
data_Rb2PmAg2I6
_cell_length_a 13.8144
_cell_length_b 9.4741
_cell_length_c 8.7724
_cell_angle_alpha 90.00
_cell_angle_beta 117.14
_cell_angle_gamma 90.00
_symmetry_space_group_name_H-M 'C 1 2/m 1'
_symmetry_Int_Tables_number 12
loop_
_symmetry_equiv_pos_as_xyz
'x,y,z'
'-x,-y,-z'
'-x,y,-z'
'x,-y,z'
'x+1/2,y+1/2,z'
'-x+1/2,-y+1/2,-z'
'-x+1/2,y+1/2,-z'
'x+1/2,-y+1/2,z'
loop_
_atom_site_label
_atom_site_fract_x
_atom_site_fract_y
_atom_site_fract_z
Rb1 0.2175 0.0000 0.1724
Pm1 0.0000 0.0000 0.5000
Ag1 0.0346 0.5000 0.3743
I1 0.0437 0.2263 0.7829
I2 0.2478 0.0000 0.6127
```

Peak list (12 most intense, 2θ from 10° to 80°, by intensity)
| two_theta | d (Å) | Rel. int. | hkl |
| --- | --- | --- | --- |
| 29.10 | 3.069 | 1000 | 4 0 0 |
| 21.95 | 4.050 | 675 | 0 2 1 |
| 22.56 | 3.941 | 583 | 1 1 -2 |
| 28.02 | 3.184 | 571 | 2 2 -2 |
| 11.33 | 7.806 | 550 | 0 0 1 |
| 25.86 | 3.445 | 486 | 4 0 -1 |
| 23.71 | 3.752 | 486 | 2 2 0 |
| 35.16 | 2.552 | 464 | 1 3 -2 |
| 14.41 | 6.147 | 460 | 2 0 0 |
| 37.99 | 2.369 | 450 | 0 4 0 |
| 40.84 | 2.209 | 436 | 4 2 1 |
| 33.15 | 2.702 | 353 | 1 1 -3 |


(2)
Pr2AgI2: computed XRD peak list (Cu Kα), based on a cell relaxed with GGA-PBE.
Peak positions follow from Bragg's law for the DFT cell and can differ from measured ones.

Structural model:
```
data_Pr2AgI2
_cell_length_a 4.3137
_cell_length_b 4.3137
_cell_length_c 36.3793
_cell_angle_alpha 90.00
_cell_angle_beta 90.00
_cell_angle_gamma 120.00
_symmetry_space_group_name_H-M 'R -3 m'
_symmetry_Int_Tables_number 166
_symmetry_space_group_name_Hall '-R 3 2"'
loop_
_atom_site_label
_atom_site_fract_x
_atom_site_fract_y
_atom_site_fract_z
Pr1 0.0000 0.0000 0.1157
Ag1 0.0000 0.0000 0.5000
I1 0.0000 0.0000 0.2761
```

Peak list (12 most intense, 2θ from 10° to 80°, by intensity)
| two_theta | d (Å) | Rel. int. | hkl |
| --- | --- | --- | --- |
| 26.83 | 3.323 | 1000 | 0 1 5 |
| 30.98 | 2.887 | 426 | 0 1 8 |
| 41.89 | 2.157 | 420 | 1 1 0 |
| 40.27 | 2.240 | 415 | 1 0 13 |
| 63.03 | 1.475 | 215 | 1 1 18 |
| 50.44 | 1.809 | 173 | 2 0 5 |
| 29.45 | 3.033 | 162 | 1 0 7 |
| 34.41 | 2.606 | 144 | 1 0 10 |
| 67.58 | 1.386 | 142 | 1 2 5 |
| 59.50 | 1.554 | 130 | 0 2 13 |
| 75.40 | 1.261 | 128 | 2 1 13 |
| 44.85 | 2.021 | 101 | 0 0 18 |


(3)
Pr6AgI8: computed XRD peak list (Cu Kα), based on a cell relaxed with GGA-PBE.
Peak positions follow from Bragg's law for the DFT cell and can differ from measured ones.

Structural model:
```
data_Pr6AgI8
_cell_length_a 7.6925
_cell_length_b 7.6925
_cell_length_c 35.3610
_cell_angle_alpha 90.00
_cell_angle_beta 90.00
_cell_angle_gamma 120.00
_symmetry_space_group_name_H-M 'R -3'
_symmetry_Int_Tables_number 148
_symmetry_space_group_name_Hall '-R 3'
loop_
_atom_site_label
_atom_site_fract_x
_atom_site_fract_y
_atom_site_fract_z
Pr1 0.9999 0.3144 0.4487
Ag1 0.0000 0.0000 0.5000
I1 0.0000 0.0000 0.1667
I2 0.9999 0.3412 0.6081
```

Peak list (12 most intense, 2θ from 10° to 80°, by intensity)
| two_theta | d (Å) | Rel. int. | hkl |
| --- | --- | --- | --- |
| 27.70 | 3.221 | 1000 | 1 1 6 |
| 38.49 | 2.339 | 383 | 2 -1 12 |
| 40.63 | 2.221 | 331 | 3 0 0 |
| 49.88 | 1.828 | 186 | 4 -2 6 |
| 63.19 | 1.471 | 153 | 3 0 18 |
| 66.21 | 1.411 | 151 | 4 1 6 |
| 57.20 | 1.610 | 114 | 2 2 12 |
| 72.50 | 1.304 | 108 | 5 -1 12 |
| 32.58 | 2.748 | 79 | 1 1 9 |
| 23.12 | 3.846 | 73 | 1 1 0 |
| 46.21 | 1.965 | 68 | 0 0 18 |
| 68.16 | 1.376 | 65 | 1 1 24 |


(4)
Pr2AgI: computed XRD peak list (Cu Kα), based on a cell relaxed with GGA-PBE.
Peak positions follow from Bragg's law for the DFT cell and can differ from measured ones.

Structural model:
```
data_Pr2AgI
_cell_length_a 4.3018
_cell_length_b 4.3018
_cell_length_c 24.5173
_cell_angle_alpha 90.00
_cell_angle_beta 90.00
_cell_angle_gamma 120.00
_symmetry_space_group_name_H-M 'R 3 m'
_symmetry_Int_Tables_number 160
_symmetry_space_group_name_Hall 'R 3 -2"'
loop_
_atom_site_label
_atom_site_fract_x
_atom_site_fract_y
_atom_site_fract_z
Pr1 0.0000 0.0000 0.0000
Pr2 0.0000 0.0000 0.1890
Ag1 0.0000 0.0000 0.5951
I1 0.0000 0.0000 0.4272
```

Peak list (12 most intense, 2θ from 10° to 80°, by intensity)
| two_theta | d (Å) | Rel. int. | hkl |
| --- | --- | --- | --- |
| 30.13 | 2.966 | 1000 | 0 1 5 |
| 42.01 | 2.151 | 494 | 1 1 0 |
| 35.17 | 2.552 | 345 | 1 0 7 |
| 62.70 | 1.482 | 261 | 1 1 12 |
| 24.98 | 3.565 | 260 | 0 1 2 |
| 52.55 | 1.741 | 206 | 2 0 5 |
| 28.03 | 3.184 | 194 | 1 0 4 |
| 44.22 | 2.048 | 183 | 1 0 10 |
| 69.45 | 1.353 | 176 | 1 2 5 |
| 24.16 | 3.683 | 122 | 1 0 1 |
| 44.34 | 2.043 | 94 | 0 0 12 |
| 55.91 | 1.645 | 89 | 0 2 7 |


Copy entry 1 word for word.
Rb2PmAg2I6: computed XRD peak list (Cu Kα), based on a cell relaxed with GGA-PBE.
Peak positions follow from Bragg's law for the DFT cell and can differ from measured ones.

Structural model:
```
data_Rb2PmAg2I6
_cell_length_a 13.8144
_cell_length_b 9.4741
_cell_length_c 8.7724
_cell_angle_alpha 90.00
_cell_angle_beta 117.14
_cell_angle_gamma 90.00
_symmetry_space_group_name_H-M 'C 1 2/m 1'
_symmetry_Int_Tables_number 12
loop_
_symmetry_equiv_pos_as_xyz
'x,y,z'
'-x,-y,-z'
'-x,y,-z'
'x,-y,z'
'x+1/2,y+1/2,z'
'-x+1/2,-y+1/2,-z'
'-x+1/2,y+1/2,-z'
'x+1/2,-y+1/2,z'
loop_
_atom_site_label
_atom_site_fract_x
_atom_site_fract_y
_atom_site_fract_z
Rb1 0.2175 0.0000 0.1724
Pm1 0.0000 0.0000 0.5000
Ag1 0.0346 0.5000 0.3743
I1 0.0437 0.2263 0.7829
I2 0.2478 0.0000 0.6127
```

Peak list (12 most intense, 2θ from 10° to 80°, by intensity)
| two_theta | d (Å) | Rel. int. | hkl |
| --- | --- | --- | --- |
| 29.10 | 3.069 | 1000 | 4 0 0 |
| 21.95 | 4.050 | 675 | 0 2 1 |
| 22.56 | 3.941 | 583 | 1 1 -2 |
| 28.02 | 3.184 | 571 | 2 2 -2 |
| 11.33 | 7.806 | 550 | 0 0 1 |
| 25.86 | 3.445 | 486 | 4 0 -1 |
| 23.71 | 3.752 | 486 | 2 2 0 |
| 35.16 | 2.552 | 464 | 1 3 -2 |
| 14.41 | 6.147 | 460 | 2 0 0 |
| 37.99 | 2.369 | 450 | 0 4 0 |
| 40.84 | 2.209 | 436 | 4 2 1 |
| 33.15 | 2.702 | 353 | 1 1 -3 |